The following is a computed powder X-ray diffraction pattern of Ac3PmSn2. It was derived from a structure optimized by DFT (PBE), using a wavelength of 1.5418 Å.

Most intense lines, 2θ from 5° to 70°, by angle:
hkl 1 2 1, 19.34°, 4.589 Å, I = 26; hkl 2 0 0, 23.15°, 3.843 Å, I = 34; hkl 1 3 2, 29.66°, 3.012 Å, I = 100; hkl 0 4 2, 31.27°, 2.860 Å, I = 25; hkl 2 0 2, 31.49°, 2.841 Å, I = 38; hkl 2 4 0, 32.75°, 2.734 Å, I = 45; hkl 0 0 4, 42.87°, 2.109 Å, I = 19; hkl 1 7 2, 47.72°, 1.906 Å, I = 26; hkl 2 4 4, 54.98°, 1.670 Å, I = 21; hkl 3 7 2, 59.22°, 1.560 Å, I = 29

Cell and atoms:
```
data_Ac3PmSn2
_cell_length_a 7.6855
_cell_length_b 15.5660
_cell_length_c 8.4373
_cell_angle_alpha 90.00
_cell_angle_beta 90.00
_cell_angle_gamma 90.00
_symmetry_space_group_name_H-M 'I b a m'
_symmetry_Int_Tables_number 72
_symmetry_space_group_name_Hall '-I 2 2c'
loop_
_atom_site_label
_atom_site_type_symbol
_atom_site_fract_x
_atom_site_fract_y
_atom_site_fract_z
_atom_site_occupancy
Ac1 Ac 0.0000 0.0000 0.2500 1
Ac2 Ac 0.0000 0.2881 0.2500 1
Pm1 Pm 0.0000 0.5000 0.0000 1
Sn1 Sn 0.1901 0.1393 0.0000 1
```

***

The following is a computed powder X-ray diffraction pattern of AcPmSn3. It was derived from a structure optimized by DFT (PBE), using a wavelength of 1.5418 Å.

Most intense lines, 2θ from 5° to 70°, by angle:
hkl 3 1 0, 24.05°, 3.700 Å, I = 43; hkl 0 0 2, 26.16°, 3.406 Å, I = 25; hkl 2 0 2, 29.70°, 3.008 Å, I = 47; hkl 4 0 1, 30.83°, 2.900 Å, I = 100; hkl 4 2 0, 37.11°, 2.422 Å, I = 18; hkl 4 0 2, 38.57°, 2.334 Å, I = 49; hkl 4 2 1, 39.48°, 2.282 Å, I = 21; hkl 2 2 3, 49.17°, 1.853 Å, I = 28; hkl 6 2 0, 49.25°, 1.850 Å, I = 21; hkl 5 3 2, 58.57°, 1.576 Å, I = 20

Cell and atoms:
```
data_AcPmSn3
_cell_length_a 12.8203
_cell_length_b 7.3998
_cell_length_c 6.8130
_cell_angle_alpha 90.00
_cell_angle_beta 90.07
_cell_angle_gamma 90.00
_symmetry_space_group_name_H-M 'C 1 2/m 1'
_symmetry_Int_Tables_number 12
_symmetry_space_group_name_Hall '-C 2y'
loop_
_atom_site_label
_atom_site_type_symbol
_atom_site_fract_x
_atom_site_fract_y
_atom_site_fract_z
_atom_site_occupancy
Ac1 Ac 0.1667 0.0000 0.2500 1
Pm1 Pm 0.0000 0.5000 0.0000 1
Pm2 Pm 0.0000 0.5000 0.5000 1
Sn1 Sn 0.1014 0.1960 0.7501 1
Sn2 Sn 0.2026 0.5000 0.2501 1
```

***

The following is a computed powder X-ray diffraction pattern of AcPm12Sn7. It was derived from a structure optimized by DFT (PBE), using a wavelength of 1.5418 Å.

Most intense lines, 2θ from 5° to 70°, by angle:
hkl 2 0 2, 23.82°, 3.736 Å, I = 23; hkl 1 3 1, 25.46°, 3.499 Å, I = 21; hkl 4 0 1, 27.88°, 3.200 Å, I = 52; hkl 0 0 3, 30.10°, 2.969 Å, I = 41; hkl 3 1 2, 30.91°, 2.893 Å, I = 100; hkl 0 4 2, 32.96°, 2.717 Å, I = 21; hkl 3 3 0, 33.96°, 2.640 Å, I = 85; hkl 0 3 3, 36.06°, 2.490 Å, I = 65; hkl 0 7 2, 50.91°, 1.794 Å, I = 35; hkl 6 3 3, 62.14°, 1.494 Å, I = 27

Cell and atoms:
```
data_AcPm12Sn7
_cell_length_a 15.8391
_cell_length_b 15.8391
_cell_length_c 8.9101
_cell_angle_alpha 90.00
_cell_angle_beta 90.00
_cell_angle_gamma 120.00
_symmetry_space_group_name_H-M 'R -3 m'
_symmetry_Int_Tables_number 166
_symmetry_space_group_name_Hall '-R 3 2"'
loop_
_atom_site_label
_atom_site_type_symbol
_atom_site_fract_x
_atom_site_fract_y
_atom_site_fract_z
_atom_site_occupancy
Ac1 Ac 0.0000 0.0000 0.0000 1
Pm1 Pm 0.0000 0.2729 0.0000 1
Pm2 Pm 0.1093 0.2186 0.3778 1
Sn1 Sn 0.0000 0.0000 0.5000 1
Sn2 Sn 0.1074 0.2149 0.7533 1
```

***

The following is a computed powder X-ray diffraction pattern of Ac2Pm3Sn5. It was derived from a structure optimized by DFT (PBE), using a wavelength of 1.5418 Å.

Most intense lines, 2θ from 5° to 70°, by angle:
hkl 0 4 0, 21.61°, 4.112 Å, I = 32; hkl 2 4 0, 26.17°, 3.405 Å, I = 66; hkl 3 2 1, 27.80°, 3.209 Å, I = 100; hkl 4 0 0, 29.43°, 3.035 Å, I = 40; hkl 2 0 2, 29.95°, 2.984 Å, I = 92; hkl 1 3 2, 31.66°, 2.826 Å, I = 34; hkl 4 1 1, 32.72°, 2.737 Å, I = 34; hkl 0 4 2, 34.06°, 2.632 Å, I = 95; hkl 2 6 0, 35.94°, 2.499 Å, I = 64; hkl 2 10 2, 64.71°, 1.441 Å, I = 40

Cell and atoms:
```
data_Ac2Pm3Sn5
_cell_length_a 12.1416
_cell_length_b 16.4497
_cell_length_c 6.8525
_cell_angle_alpha 90.00
_cell_angle_beta 90.00
_cell_angle_gamma 90.00
_symmetry_space_group_name_H-M 'I b a m'
_symmetry_Int_Tables_number 72
_symmetry_space_group_name_Hall '-I 2 2c'
loop_
_atom_site_label
_atom_site_type_symbol
_atom_site_fract_x
_atom_site_fract_y
_atom_site_fract_z
_atom_site_occupancy
Ac1 Ac 0.2399 0.1062 0.0000 1
Pm1 Pm 0.0000 0.5000 0.2500 1
Pm2 Pm 0.0716 0.1505 0.5000 1
Sn1 Sn 0.0000 0.0000 0.2500 1
Sn2 Sn 0.0000 0.3077 0.2500 1
Sn3 Sn 0.1834 0.4029 0.0000 1
```

***

The following is a computed powder X-ray diffraction pattern of Ac5PmSn4. It was derived from a structure optimized by DFT (PBE), using a wavelength of 1.5418 Å.

Most intense lines, 2θ from 5° to 70°, by angle:
hkl 3 1 0, 21.86°, 4.066 Å, I = 33; hkl 0 0 2, 23.01°, 3.865 Å, I = 14; hkl 6 0 0, 30.56°, 2.926 Å, I = 37; hkl 0 2 0, 31.71°, 2.822 Å, I = 100; hkl 3 1 2, 32.15°, 2.784 Å, I = 63; hkl 6 2 0, 44.57°, 2.033 Å, I = 27; hkl 9 1 -2, 54.80°, 1.675 Å, I = 14; hkl 9 1 2, 55.59°, 1.653 Å, I = 13; hkl 3 3 -2, 56.43°, 1.631 Å, I = 13; hkl 3 3 2, 56.66°, 1.624 Å, I = 20

Cell and atoms:
```
data_Ac5PmSn4
_cell_length_a 17.5571
_cell_length_b 5.6544
_cell_length_c 7.7303
_cell_angle_alpha 90.00
_cell_angle_beta 91.02
_cell_angle_gamma 90.00
_symmetry_space_group_name_H-M 'C 1 2/m 1'
_symmetry_Int_Tables_number 12
_symmetry_space_group_name_Hall '-C 2y'
loop_
_atom_site_label
_atom_site_type_symbol
_atom_site_fract_x
_atom_site_fract_y
_atom_site_fract_z
_atom_site_occupancy
Ac1 Ac 0.0000 0.0000 0.0000 1
Ac2 Ac 0.1638 0.5000 0.0003 1
Ac3 Ac 0.1667 0.5000 0.5072 1
Pm1 Pm 0.0000 0.0000 0.5000 1
Sn1 Sn 0.0075 0.5000 0.2641 1
Sn2 Sn 0.1727 0.0000 0.7491 1
```

***

The following is a computed powder X-ray diffraction pattern of Ac12PmSn7. It was derived from a structure optimized by DFT (PBE), using a wavelength of 1.5418 Å.

Most intense lines, 2θ from 5° to 70°, by angle:
hkl 1 3 1, 23.93°, 3.718 Å, I = 36; hkl 4 0 1, 26.21°, 3.400 Å, I = 48; hkl 0 0 3, 27.93°, 3.195 Å, I = 24; hkl 3 2 1, 28.32°, 3.152 Å, I = 28; hkl 3 1 2, 28.93°, 3.086 Å, I = 100; hkl 3 3 0, 31.97°, 2.799 Å, I = 60; hkl 0 3 3, 33.59°, 2.668 Å, I = 50; hkl 0 6 3, 47.05°, 1.931 Å, I = 20; hkl 0 7 2, 47.70°, 1.907 Å, I = 35; hkl 6 3 3, 58.02°, 1.590 Å, I = 25

Cell and atoms:
```
data_Ac12PmSn7
_cell_length_a 16.7970
_cell_length_b 16.7970
_cell_length_c 9.5843
_cell_angle_alpha 90.00
_cell_angle_beta 90.00
_cell_angle_gamma 120.00
_symmetry_space_group_name_H-M 'R -3 m'
_symmetry_Int_Tables_number 166
_symmetry_space_group_name_Hall '-R 3 2"'
loop_
_atom_site_label
_atom_site_type_symbol
_atom_site_fract_x
_atom_site_fract_y
_atom_site_fract_z
_atom_site_occupancy
Ac1 Ac 0.0000 0.2690 0.0000 1
Ac2 Ac 0.1062 0.2123 0.3795 1
Pm1 Pm 0.0000 0.0000 0.0000 1
Sn1 Sn 0.0000 0.0000 0.5000 1
Sn2 Sn 0.1044 0.2088 0.7600 1
```